Simulated X-ray powder pattern of LiTb3O4 for Cu Kα, 1.54184 Å, from a crystal structure in Alexandria, relaxed with PBE.
Intensities are scaled so that the largest is 1000.

Cell lengths 4.746, 4.746, 4.746 Å; angles 90.00, 90.00, 90.00 degrees
Element x y z (fractional)
Li 0.000 0.000 0.000
Tb 0.000 0.500 0.500
Tb 0.500 0.000 0.500
Tb 0.500 0.500 0.000
O 0.000 0.000 0.500
O 0.000 0.500 0.000
O 0.500 0.000 0.000
O 0.500 0.500 0.500

Largest 8 diffraction maxima, in order of rising 2θ, 15° ≤ 2θ ≤ 90°:
- hkl 1 0 0, 18.7 deg, rel. 410
- hkl 1 1 0, 26.6 deg, rel. 354
- hkl 1 1 1, 32.7 deg, rel. 1000
- hkl 2 0 0, 37.9 deg, rel. 884
- hkl 2 1 0, 42.6 deg, rel. 201
- hkl 2 2 0, 54.7 deg, rel. 593
- hkl 3 1 1, 65.2 deg, rel. 449
- hkl 2 2 2, 68.5 deg, rel. 196